Simulated powder X-ray diffraction pattern
Compound: LiNiPO4
Radiation: copper Kα
Structure: a cell relaxed with PBE+U
No peak broadening, texture or thermal motion is included.

Top 10 peaks for 5 to 70 degrees two-theta, in order of falling intensity:
(0 2 0), 12.4°, I = 100
(1 3 1), 33.8°, I = 94
(0 0 2), 37.8°, I = 33
(1 1 1), 28.7°, I = 31
(1 3 0), 28.0°, I = 25
(2 0 2), 57.9°, I = 25
(0 6 1), 42.4°, I = 20
(1 3 3), 65.7°, I = 13
(2 6 1), 61.4°, I = 13
(0 4 1), 31.3°, I = 13

Structure:
```
data_LiNiPO4
_chemical_formula_sum 'Li4 Ni4 P4 O16'
_symmetry_space_group_name_H-M 'P b c n'
_symmetry_Int_Tables_number 60
_cell_length_a 4.281
_cell_length_b 14.307
_cell_length_c 4.768
_cell_angle_alpha 90.00
_cell_angle_beta 90.00
_cell_angle_gamma 90.00
loop_
_symmetry_equiv_pos_as_xyz
'x,y,z'
'-x,-y,-z'
'-x+1/2,-y+1/2,z+1/2'
'x+1/2,y+1/2,-z+1/2'
'x+1/2,-y+1/2,-z'
'-x+1/2,y+1/2,z'
'-x,y,-z+1/2'
'x,-y,z+1/2'
loop_
_atom_site_label
_atom_site_type_symbol
_atom_site_fract_x
_atom_site_fract_y
_atom_site_fract_z
_atom_site_occupancy
Li1 Li 0.000 0.248 0.250 1
Ni1 Ni 0.000 0.063 0.750 1
P1 P 0.000 0.390 0.750 1
O1 O 0.186 0.330 0.533 1
O2 O 0.241 0.451 0.911 1
```

Simulated powder X-ray diffraction pattern
Compound: Li2NiP2O7
Radiation: copper Kα
Structure: a cell relaxed with PBE+U
No peak broadening, texture or thermal motion is included.

Top 10 peaks for 5 to 70 degrees two-theta, in order of falling intensity:
(1 1 0), 20.7°, I = 100
(0 0 2), 23.8°, I = 80
(0 1 1), 13.9°, I = 72
(1 -1 0), 23.6°, I = 68
(1 2 1), 28.3°, I = 49
(0 1 3), 32.9°, I = 45
(2 0 0), 35.4°, I = 40
(0 3 1), 38.1°, I = 39
(1 1 2), 26.9°, I = 28
(2 1 1), 36.2°, I = 27

Structure:
```
data_Li2NiP2O7
_chemical_formula_sum 'Li4 Ni2 P4 O14'
_symmetry_space_group_name_H-M 'P -1'
_symmetry_Int_Tables_number 2
_cell_length_a 5.141
_cell_length_b 7.223
_cell_length_c 8.196
_cell_angle_alpha 65.86
_cell_angle_beta 85.77
_cell_angle_gamma 81.29
loop_
_symmetry_equiv_pos_as_xyz
'x,y,z'
'-x,-y,-z'
loop_
_atom_site_label
_atom_site_type_symbol
_atom_site_fract_x
_atom_site_fract_y
_atom_site_fract_z
_atom_site_occupancy
Li1 Li 0.204 0.318 0.058 1
Li2 Li 0.206 0.366 0.496 1
Ni1 Ni 0.317 0.766 0.226 1
P1 P 0.235 0.956 0.806 1
P2 P 0.269 0.641 0.672 1
O1 O 0.063 0.031 0.157 1
O2 O 0.083 0.545 0.826 1
O3 O 0.164 0.661 0.492 1
O4 O 0.287 0.874 0.647 1
O5 O 0.336 0.166 0.723 1
O6 O 0.399 0.803 0.966 1
O7 O 0.445 0.463 0.298 1
```

Simulated powder X-ray diffraction pattern
Compound: Li4NiSn3P4O16
Radiation: copper Kα
Structure: a cell relaxed with PBE+U
No peak broadening, texture or thermal motion is included.

Top 10 peaks for 5 to 70 degrees two-theta, in order of falling intensity:
(0 2 0), 26.1°, I = 100
(1 1 1), 24.1°, I = 91
(1 1 -1), 23.8°, I = 77
(1 1 -3), 33.2°, I = 71
(1 1 3), 33.9°, I = 55
(0 0 2), 16.3°, I = 53
(0 1 4), 35.6°, I = 38
(1 0 1), 20.2°, I = 22
(1 0 -2), 24.3°, I = 21
(0 2 2), 30.9°, I = 21

Structure:
```
data_Li4NiSn3P4O16
_chemical_formula_sum 'Li4 Ni1 Sn3 P4 O16'
_symmetry_space_group_name_H-M 'P 1 m 1'
_symmetry_Int_Tables_number 6
_cell_length_a 4.848
_cell_length_b 6.832
_cell_length_c 10.870
_cell_angle_alpha 90.00
_cell_angle_beta 91.25
_cell_angle_gamma 90.00
loop_
_symmetry_equiv_pos_as_xyz
'x,y,z'
'x,-y,z'
loop_
_atom_site_label
_atom_site_type_symbol
_atom_site_fract_x
_atom_site_fract_y
_atom_site_fract_z
_atom_site_occupancy
Li1 Li 0.000 0.221 0.000 1
Li2 Li 0.433 0.261 0.484 1
Ni1 Ni 0.900 0.500 0.270 1
Sn1 Sn 0.007 0.000 0.701 1
Sn2 Sn 0.399 0.000 0.213 1
Sn3 Sn 0.478 0.500 0.779 1
P1 P 0.018 0.500 0.558 1
P2 P 0.314 0.500 0.105 1
P3 P 0.580 0.000 0.922 1
P4 P 0.835 0.000 0.414 1
O1 O 0.137 0.500 0.425 1
O2 O 0.148 0.320 0.628 1
O3 O 0.151 0.000 0.424 1
O4 O 0.164 0.321 0.165 1
O5 O 0.227 0.500 0.965 1
O6 O 0.267 0.000 0.941 1
O7 O 0.626 0.500 0.126 1
O8 O 0.685 0.183 0.848 1
O9 O 0.701 0.000 0.546 1
O10 O 0.701 0.500 0.557 1
O11 O 0.713 0.185 0.345 1
O12 O 0.737 0.000 0.049 1
```

Simulated powder X-ray diffraction pattern
Compound: Li6TiNi3P6O24
Radiation: copper Kα
Structure: a cell relaxed with PBE+U
No peak broadening, texture or thermal motion is included.

Top 10 peaks for 5 to 70 degrees two-theta, in order of falling intensity:
(2 -1 1), 24.2°, I = 100
(1 -2 0), 24.0°, I = 96
(-1 1 1), 19.8°, I = 81
(1 0 -1), 14.4°, I = 77
(-2 1 2), 31.7°, I = 77
(1 -2 3), 31.9°, I = 66
(1 -2 1), 20.9°, I = 54
(0 1 -2), 19.9°, I = 45
(0 2 0), 28.9°, I = 33
(3 0 -1), 36.7°, I = 31

Structure:
```
data_Li6TiNi3P6O24
_chemical_formula_sum 'Li6 Ti1 Ni3 P6 O24'
_symmetry_space_group_name_H-M 'P 1'
_symmetry_Int_Tables_number 1
_cell_length_a 8.465
_cell_length_b 8.488
_cell_length_c 8.942
_cell_angle_alpha 117.94
_cell_angle_beta 90.28
_cell_angle_gamma 119.86
loop_
_symmetry_equiv_pos_as_xyz
'x,y,z'
loop_
_atom_site_label
_atom_site_type_symbol
_atom_site_fract_x
_atom_site_fract_y
_atom_site_fract_z
_atom_site_occupancy
Li1 Li 0.000 0.000 0.000 1
Li2 Li 0.126 0.868 0.249 1
Li3 Li 0.255 0.882 0.791 1
Li4 Li 0.387 0.492 0.250 1
Li5 Li 0.595 0.154 0.713 1
Li6 Li 0.766 0.141 0.255 1
Ti1 Ti 0.190 0.356 0.546 1
Ni1 Ni 0.394 0.763 0.149 1
Ni2 Ni 0.697 0.376 0.061 1
Ni3 Ni 0.891 0.769 0.655 1
P1 P 0.003 0.567 0.856 1
P2 P 0.087 0.566 0.357 1
P3 P 0.295 0.276 0.856 1
P4 P 0.497 0.274 0.351 1
P5 P 0.584 0.856 0.852 1
P6 P 0.797 0.861 0.350 1
O1 O 0.056 0.464 0.685 1
O2 O 0.080 0.707 0.542 1
O3 O 0.155 0.062 0.845 1
O4 O 0.181 0.452 0.372 1
O5 O 0.190 0.747 0.018 1
O6 O 0.221 0.255 0.683 1
O7 O 0.221 0.730 0.308 1
O8 O 0.288 0.449 0.021 1
O9 O 0.291 0.196 0.371 1
O10 O 0.426 0.628 0.687 1
O11 O 0.494 0.317 0.867 1
O12 O 0.502 0.321 0.203 1
O13 O 0.529 0.095 0.312 1
O14 O 0.537 0.014 0.859 1
O15 O 0.585 0.787 0.310 1
O16 O 0.585 0.854 0.025 1
O17 O 0.653 0.472 0.526 1
O18 O 0.783 0.918 0.838 1
O19 O 0.841 0.710 0.206 1
O20 O 0.841 0.883 0.527 1
O21 O 0.850 0.389 0.877 1
O22 O 0.885 0.385 0.220 1
O23 O 0.925 0.086 0.370 1
O24 O 0.946 0.707 0.842 1
```

Simulated powder X-ray diffraction pattern
Compound: Li7V3NiP6O24
Radiation: copper Kα
Structure: a cell relaxed with PBE+U
No peak broadening, texture or thermal motion is included.

Top 10 peaks for 5 to 70 degrees two-theta, in order of falling intensity:
(2 -1 3), 24.1°, I = 100
(2 -1 6), 31.5°, I = 72
(1 0 4), 19.6°, I = 63
(0 1 2), 14.4°, I = 61
(0 2 4), 29.0°, I = 42
(3 0 0), 36.9°, I = 21
(3 -1 10), 51.7°, I = 21
(2 1 1), 32.7°, I = 18
(4 -2 6), 49.3°, I = 18
(0 3 3), 38.8°, I = 18

Structure:
```
data_Li7V3NiP6O24
_chemical_formula_sum 'Li21 V9 Ni3 P18 O72'
_symmetry_space_group_name_H-M 'R 3'
_symmetry_Int_Tables_number 146
_symmetry_space_group_name_Hall 'R 3'
_cell_length_a 8.4319
_cell_length_b 8.4319
_cell_length_c 23.0288
_cell_angle_alpha 90.00
_cell_angle_beta 90.00
_cell_angle_gamma 120.00
loop_
_atom_site_label
_atom_site_type_symbol
_atom_site_fract_x
_atom_site_fract_y
_atom_site_fract_z
_atom_site_occupancy
Li1 Li 0.0000 0.0000 0.0000 1
Li2 Li 0.0162 0.3813 0.2576 1
Li3 Li 0.0462 0.6928 0.1645 1
V1 V 0.0000 0.0000 0.1962 1
V2 V 0.0000 0.0000 0.3997 1
V3 V 0.0000 0.0000 0.6911 1
Ni1 Ni 0.0000 0.0000 0.8878 1
P1 P 0.0004 0.7081 0.2962 1
P2 P 0.0406 0.3730 0.4623 1
O1 O 0.0019 0.1961 0.7406 1
O2 O 0.0078 0.8082 0.3515 1
O3 O 0.0514 0.8372 0.6344 1
O4 O 0.0856 0.8466 0.2434 1
O5 O 0.0926 0.8679 0.9492 1
O6 O 0.1715 0.4486 0.1220 1
O7 O 0.1781 0.4192 0.5143 1
O8 O 0.1991 0.4379 0.8133 1
```

Simulated powder X-ray diffraction pattern
Compound: Li7V3NiP6O24
Radiation: copper Kα
Structure: a cell relaxed with PBE+U
No peak broadening, texture or thermal motion is included.

Top 10 peaks for 5 to 70 degrees two-theta, in order of falling intensity:
(2 -1 3), 24.1°, I = 100
(2 -1 6), 31.6°, I = 70
(1 0 4), 19.7°, I = 65
(0 1 2), 14.4°, I = 57
(0 2 4), 29.0°, I = 42
(3 0 0), 36.9°, I = 26
(3 -1 10), 51.8°, I = 21
(0 3 3), 38.8°, I = 18
(2 1 1), 32.6°, I = 18
(4 -2 6), 49.3°, I = 18

Structure:
```
data_Li7V3NiP6O24
_chemical_formula_sum 'Li21 V9 Ni3 P18 O72'
_symmetry_space_group_name_H-M 'R 3'
_symmetry_Int_Tables_number 146
_symmetry_space_group_name_Hall 'R 3'
_cell_length_a 8.4410
_cell_length_b 8.4410
_cell_length_c 22.9559
_cell_angle_alpha 90.00
_cell_angle_beta 90.00
_cell_angle_gamma 120.00
loop_
_atom_site_label
_atom_site_type_symbol
_atom_site_fract_x
_atom_site_fract_y
_atom_site_fract_z
_atom_site_occupancy
Li1 Li 0.0000 0.0000 0.0000 1
Li2 Li 0.0127 0.3800 0.1766 1
Li3 Li 0.0452 0.6895 0.0826 1
V1 V 0.0000 0.0000 0.1169 1
V2 V 0.0000 0.0000 0.3162 1
V3 V 0.0000 0.0000 0.6069 1
Ni1 Ni 0.0000 0.0000 0.8114 1
P1 P 0.0021 0.7092 0.2123 1
P2 P 0.0400 0.3727 0.3785 1
O1 O 0.0003 0.1943 0.6572 1
O2 O 0.0176 0.8162 0.2669 1
O3 O 0.0504 0.8376 0.5506 1
O4 O 0.0899 0.8478 0.1586 1
O5 O 0.0960 0.8632 0.8640 1
O6 O 0.1715 0.4198 0.4318 1
O7 O 0.1722 0.4474 0.0378 1
O8 O 0.2032 0.4474 0.7253 1
```

Simulated powder X-ray diffraction pattern
Compound: LiNiPtO4
Radiation: copper Kα
Structure: a cell relaxed with PBE+U
No peak broadening, texture or thermal motion is included.

Top 10 peaks for 5 to 70 degrees two-theta, in order of falling intensity:
(1 0 1), 18.4°, I = 100
(1 2 1), 34.5°, I = 41
(2 2 0), 42.7°, I = 29
(2 2 4), 61.3°, I = 20
(1 0 3), 34.7°, I = 19
(0 2 2), 35.8°, I = 19
(2 0 2), 37.2°, I = 16
(0 0 4), 41.8°, I = 16
(0 0 2), 20.5°, I = 15
(1 2 3), 45.8°, I = 15

Structure:
```
data_LiNiPtO4
_chemical_formula_sum 'Li4 Ni4 Pt4 O16'
_symmetry_space_group_name_H-M 'I m m a'
_symmetry_Int_Tables_number 74
_symmetry_space_group_name_Hall '-I 2b 2'
_cell_length_a 5.825
_cell_length_b 6.164
_cell_length_c 8.648
_cell_angle_alpha 90.00
_cell_angle_beta 90.00
_cell_angle_gamma 90.00
loop_
_atom_site_label
_atom_site_type_symbol
_atom_site_fract_x
_atom_site_fract_y
_atom_site_fract_z
_atom_site_occupancy
Li1 Li 0.000 0.250 0.140 1
Ni1 Ni 0.250 0.250 0.750 1
Pt1 Pt 0.000 0.000 0.500 1
O1 O 0.000 0.032 0.731 1
O2 O 0.229 0.250 0.504 1
```

Simulated powder X-ray diffraction pattern
Compound: Li2PuNiO6
Radiation: copper Kα
Structure: a cell relaxed with PBE+U
No peak broadening, texture or thermal motion is included.

Top 10 peaks for 5 to 70 degrees two-theta, in order of falling intensity:
(0 0 1), 21.8°, I = 100
(2 0 0), 31.0°, I = 52
(1 0 0), 15.4°, I = 38
(2 2 1), 50.0°, I = 29
(1 0 1), 26.8°, I = 21
(2 2 0), 44.4°, I = 15
(1 1 2), 50.1°, I = 14
(3 1 1), 55.2°, I = 14
(2 1 1), 41.4°, I = 13
(2 0 1), 38.2°, I = 13

Structure:
```
data_Li2PuNiO6
_chemical_formula_sum 'Li2 Pu1 Ni1 O6'
_symmetry_space_group_name_H-M 'P 4 m m'
_symmetry_Int_Tables_number 99
_cell_length_a 5.771
_cell_length_b 5.771
_cell_length_c 4.065
_cell_angle_alpha 90.00
_cell_angle_beta 90.00
_cell_angle_gamma 90.00
loop_
_symmetry_equiv_pos_as_xyz
'x,y,z'
'-y,x,z'
'-x,-y,z'
'y,-x,z'
'-x,y,z'
'y,x,z'
'x,-y,z'
'-y,-x,z'
loop_
_atom_site_label
_atom_site_type_symbol
_atom_site_fract_x
_atom_site_fract_y
_atom_site_fract_z
_atom_site_occupancy
Li1 Li 0.000 0.500 0.000 1
Pu1 Pu 0.000 0.000 0.918 1
Ni1 Ni 0.500 0.500 0.910 1
O1 O 0.000 0.000 0.419 1
O2 O 0.243 0.243 0.929 1
O3 O 0.500 0.500 0.415 1
```

Simulated powder X-ray diffraction pattern
Compound: Li2PuNiO5
Radiation: copper Kα
Structure: a cell relaxed with PBE+U
No peak broadening, texture or thermal motion is included.

Top 10 peaks for 5 to 70 degrees two-theta, in order of falling intensity:
(0 0 1), 13.7°, I = 100
(1 1 1), 35.2°, I = 33
(1 0 1), 26.5°, I = 33
(1 1 2), 42.9°, I = 32
(0 0 2), 27.6°, I = 17
(2 0 1), 48.4°, I = 17
(1 1 3), 53.8°, I = 17
(1 1 0), 32.2°, I = 17
(2 0 0), 46.2°, I = 16
(1 0 0), 22.6°, I = 15

Structure:
```
data_Li2PuNiO5
_chemical_formula_sum 'Li2 Pu1 Ni1 O5'
_symmetry_space_group_name_H-M 'P 4/m m m'
_symmetry_Int_Tables_number 123
_symmetry_space_group_name_Hall '-P 4 2'
_cell_length_a 3.928
_cell_length_b 3.928
_cell_length_c 6.469
_cell_angle_alpha 90.00
_cell_angle_beta 90.00
_cell_angle_gamma 90.00
loop_
_atom_site_label
_atom_site_type_symbol
_atom_site_fract_x
_atom_site_fract_y
_atom_site_fract_z
_atom_site_occupancy
Li1 Li 0.000 0.500 0.000 1
Pu1 Pu 0.000 0.000 0.500 1
Ni1 Ni 0.500 0.500 0.500 1
O1 O 0.000 0.500 0.317 1
O2 O 0.500 0.500 0.000 1
```